Entry 1:
FeIr2C4: theoretical powder XRD pattern (CuKα), based on a crystal structure in OQMD, relaxed with GGA-PBE.
No peak broadening, texture or thermal motion is included.

Structural model:
```
data_FeIr2C4
_chemical_formula_sum 'Fe4 Ir8 C16'
_space_group_name_H-M_alt 'I b a m'
_space_group_IT_number 72
_space_group_name_Hall '-I 2 2c'
_cell_length_a 7.102
_cell_length_b 8.322
_cell_length_c 5.411
_cell_angle_alpha 90.00
_cell_angle_beta 90.00
_cell_angle_gamma 90.00
loop_
_atom_site_label
_atom_site_type_symbol
_atom_site_fract_x
_atom_site_fract_y
_atom_site_fract_z
Fe1 Fe 0.000 0.000 0.250
Ir1 Ir 0.181 0.472 0.000
C1 C 0.032 0.322 0.500
C2 C 0.074 0.162 0.500
```

Main lines, by intensity (2θ from 10° to 90°):
2θ/deg, I/Imax, hkl
21.36, 1000, 0 2 0
39.58, 466, 3 1 0
33.13, 450, 0 0 2
47.57, 301, 2 2 2
37.17, 299, 1 1 2
52.53, 217, 3 1 2
16.41, 208, 1 1 0
39.74, 205, 0 2 2
50.70, 199, 3 3 0
29.87, 178, 1 2 1
41.98, 176, 2 0 2
48.61, 148, 1 4 1


Entry 2:
NaGdPO: theoretical powder XRD pattern (CuKα), based on a crystal structure in OQMD, relaxed with GGA-PBE.
No peak broadening, texture or thermal motion is included.

Structural model:
```
data_NaGdPO
_chemical_formula_sum 'Na2 Gd2 P2 O2'
_space_group_name_H-M_alt 'P m c 21'
_space_group_IT_number 26
_cell_length_a 4.074
_cell_length_b 6.468
_cell_length_c 5.607
_cell_angle_alpha 90.00
_cell_angle_beta 90.00
_cell_angle_gamma 90.00
loop_
_space_group_symop_operation_xyz
'x,y,z'
'-x,-y,z+1/2'
'-x,y,z'
'x,-y,z+1/2'
loop_
_atom_site_label
_atom_site_type_symbol
_atom_site_fract_x
_atom_site_fract_y
_atom_site_fract_z
Na1 Na 0.000 0.125 0.000
Gd1 Gd 0.500 0.261 0.501
P1 P 0.000 0.500 0.248
O1 O 0.500 0.000 0.251
```

Main lines, by intensity (2θ from 10° to 90°):
2θ/deg, I/Imax, hkl
30.44, 1000, 1 1 1
20.97, 796, 0 1 1
35.44, 315, 1 2 0
42.68, 266, 0 2 2
21.81, 257, 1 0 0
39.00, 181, 1 0 2
48.43, 180, 1 2 2
55.96, 178, 1 1 3
49.66, 165, 2 1 1
45.05, 163, 0 3 1
31.93, 161, 0 0 2
63.34, 159, 2 2 2


Entry 3:
NaZrAgTeSe2: theoretical powder XRD pattern (CuKα), based on a crystal structure in OQMD, relaxed with GGA-PBE.
No peak broadening, texture or thermal motion is included.

Structural model:
```
data_NaZrAgTeSe2
_chemical_formula_sum 'Na2 Zr2 Ag2 Te2 Se4'
_space_group_name_H-M_alt 'P 1 21/m 1'
_space_group_IT_number 11
_cell_length_a 8.017
_cell_length_b 4.018
_cell_length_c 9.968
_cell_angle_alpha 90.00
_cell_angle_beta 107.67
_cell_angle_gamma 90.00
loop_
_space_group_symop_operation_xyz
'x,y,z'
'-x,-y,-z'
'-x,y+1/2,-z'
'x,-y+1/2,z'
loop_
_atom_site_label
_atom_site_type_symbol
_atom_site_fract_x
_atom_site_fract_y
_atom_site_fract_z
Na1 Na 0.232 0.250 0.196
Zr1 Zr 0.177 0.750 0.670
Ag1 Ag 0.412 0.250 0.901
Te1 Te 0.428 0.250 0.632
Se1 Se 0.064 0.750 0.370
Se2 Se 0.212 0.750 0.946
```

Main lines, by intensity (2θ from 10° to 90°):
2θ/deg, I/Imax, hkl
12.47, 1000, 1 0 -1
32.34, 793, 2 1 0
44.47, 451, 2 1 -4
31.61, 404, 2 1 -1
35.20, 395, 1 1 -3
45.12, 314, 0 2 0
48.19, 262, 2 1 3
28.19, 258, 0 0 3
37.89, 189, 0 0 4
36.11, 184, 0 1 3
35.72, 181, 2 1 1
27.69, 177, 2 0 1


Entry 4:
NbTl2Te3: theoretical powder XRD pattern (CuKα), based on a crystal structure in OQMD, relaxed with GGA-PBE.
No peak broadening, texture or thermal motion is included.

Structural model:
```
data_NbTl2Te3
_chemical_formula_sum 'Nb2 Tl4 Te6'
_space_group_name_H-M_alt 'P 1 21/m 1'
_space_group_IT_number 11
_cell_length_a 8.479
_cell_length_b 3.621
_cell_length_c 11.830
_cell_angle_alpha 90.00
_cell_angle_beta 98.50
_cell_angle_gamma 90.00
loop_
_space_group_symop_operation_xyz
'x,y,z'
'-x,-y,-z'
'-x,y+1/2,-z'
'x,-y+1/2,z'
loop_
_atom_site_label
_atom_site_type_symbol
_atom_site_fract_x
_atom_site_fract_y
_atom_site_fract_z
Nb1 Nb 0.247 0.250 0.218
Tl1 Tl 0.191 0.250 0.585
Tl2 Tl 0.295 0.750 0.023
Te1 Te 0.008 0.250 0.816
Te2 Te 0.362 0.750 0.389
Te3 Te 0.411 0.750 0.798
```

Main lines, by intensity (2θ from 10° to 90°):
2θ/deg, I/Imax, hkl
28.33, 1000, 1 1 1
28.87, 874, 2 0 -3
32.67, 774, 2 1 0
33.78, 759, 0 1 3
27.95, 697, 2 0 2
38.47, 592, 0 0 5
34.40, 367, 1 1 -3
50.40, 358, 0 2 0
31.73, 334, 1 1 2
39.84, 323, 1 1 -4
53.92, 304, 2 1 5
21.19, 302, 2 0 0


Entry 5:
La2TbP3: theoretical powder XRD pattern (CuKα), based on a crystal structure in OQMD, relaxed with GGA-PBE.
No peak broadening, texture or thermal motion is included.

Structural model:
```
data_La2TbP3
_chemical_formula_sum 'La2 Tb1 P3'
_space_group_name_H-M_alt 'P -3 m 1'
_space_group_IT_number 164
_space_group_name_Hall '-P 3 2"'
_cell_length_a 4.1905
_cell_length_b 4.1905
_cell_length_c 10.2648
_cell_angle_alpha 90.00
_cell_angle_beta 90.00
_cell_angle_gamma 120.00
loop_
_atom_site_label
_atom_site_type_symbol
_atom_site_fract_x
_atom_site_fract_y
_atom_site_fract_z
La1 La 0.3333 0.6667 0.3270
Tb1 Tb 0.0000 0.0000 0.0000
P1 P 0.0000 0.0000 0.5000
P2 P 0.3333 0.6667 0.8446
```

Main lines, by intensity (2θ from 10° to 90°):
2θ/deg, I/Imax, hkl
30.16, 1000, 1 0 2
26.04, 788, 0 1 1
43.18, 729, 1 1 0
51.12, 398, 2 0 1
71.15, 323, 2 1 2
53.57, 256, 0 2 2
79.18, 241, 3 0 0
69.09, 161, 1 2 1
85.05, 124, 3 0 3
62.71, 118, 2 0 4
36.08, 9, 1 0 3
79.84, 6, 1 1 7


Entry 6:
KOs2: theoretical powder XRD pattern (CuKα), based on a crystal structure in OQMD, relaxed with GGA-PBE.
No peak broadening, texture or thermal motion is included.

Structural model:
```
data_KOs2
_chemical_formula_sum 'K4 Os8'
_space_group_name_H-M_alt 'P 63/m m c'
_space_group_IT_number 194
_space_group_name_Hall '-P 6c 2c'
_cell_length_a 5.4906
_cell_length_b 5.4906
_cell_length_c 8.6115
_cell_angle_alpha 90.00
_cell_angle_beta 90.00
_cell_angle_gamma 120.00
loop_
_atom_site_label
_atom_site_type_symbol
_atom_site_fract_x
_atom_site_fract_y
_atom_site_fract_z
K1 K 0.3333 0.6667 0.0670
Os1 Os 0.0000 0.0000 0.0000
Os2 Os 0.1726 0.3452 0.7500
```

Main lines, by intensity (2θ from 10° to 90°):
2θ/deg, I/Imax, hkl
39.31, 1000, 2 0 1
38.91, 710, 1 1 2
18.66, 560, 1 0 0
43.48, 560, 2 0 2
21.35, 383, 1 0 1
49.80, 347, 2 0 3
20.63, 327, 0 0 2
41.97, 291, 0 0 4
36.57, 275, 1 0 3
68.33, 268, 2 2 0
83.53, 242, 2 2 4
67.11, 233, 2 0 5


Entry 7:
SmBiN2O: theoretical powder XRD pattern (CuKα), based on a crystal structure in OQMD, relaxed with GGA-PBE.
No peak broadening, texture or thermal motion is included.

Structural model:
```
data_SmBiN2O
_chemical_formula_sum 'Sm8 Bi8 N16 O8'
_space_group_name_H-M_alt 'P 1 21/c 1'
_space_group_IT_number 14
_cell_length_a 8.378
_cell_length_b 8.235
_cell_length_c 11.758
_cell_angle_alpha 90.00
_cell_angle_beta 133.66
_cell_angle_gamma 90.00
loop_
_space_group_symop_operation_xyz
'x,y,z'
'-x,-y,-z'
'-x,y+1/2,-z+1/2'
'x,-y+1/2,z+1/2'
loop_
_atom_site_label
_atom_site_type_symbol
_atom_site_fract_x
_atom_site_fract_y
_atom_site_fract_z
Sm1 Sm 0.051 0.246 0.030
Sm2 Sm 0.440 0.729 0.481
Bi1 Bi 0.024 0.007 0.265
Bi2 Bi 0.499 0.505 0.239
N1 N 0.064 0.742 0.719
N2 N 0.195 0.572 0.002
N3 N 0.289 0.097 0.291
N4 N 0.440 0.247 0.655
O1 O 0.198 0.559 0.503
O2 O 0.322 0.034 0.824
```

Main lines, by intensity (2θ from 10° to 90°):
2θ/deg, I/Imax, hkl
30.44, 1000, 2 2 -2
30.21, 689, 0 2 2
29.47, 308, 2 0 0
53.80, 283, 2 2 -6
43.98, 167, 0 4 0
54.41, 142, 2 4 -4
54.21, 141, 4 2 -6
42.51, 139, 0 0 4
43.21, 124, 4 0 -4
63.33, 110, 4 0 -8
52.59, 105, 2 2 2
53.04, 95, 4 2 -2